(1)
For MgHgSb2O6, the GGA-PBE geometry in the Materials Project gives the theoretical powder diffractogram in this record (CuKα).
Kinematic intensities with the Lorentz-polarization factor, no thermal factor.

Atomic structure:
Lattice parameters (Å, degrees): 5.872 9.098 5.872 90.00 99.12 90.00
Space group Cm (No. 8)
Unique sites:
1 Mg 0.000 0.000 0.000
2 Hg 0.388 0.000 0.839
3 Sb 0.306 0.323 0.408
4 O 0.039 0.309 0.589
5 O 0.074 0.184 0.212
6 O 0.225 0.500 0.195
7 O 0.397 0.500 0.628

Principal peaks in the range 2θ = 10–80°, in order of falling intensity:
hkl 0 2 1, 3.579 Å, 24.88 deg, rel. 100
hkl 1 1 1, 3.513 Å, 25.35 deg, rel. 74
hkl 1 1 -1, 4.011 Å, 22.16 deg, rel. 60
hkl 1 3 0, 2.687 Å, 33.34 deg, rel. 49
hkl 2 0 0, 2.899 Å, 30.85 deg, rel. 47
hkl 1 3 2, 1.903 Å, 47.80 deg, rel. 46
hkl 1 3 -3, 1.627 Å, 56.58 deg, rel. 26
hkl 2 0 -1, 2.775 Å, 32.26 deg, rel. 21


(2)
For MgHgSb2O6, the GGA-PBE geometry in the Materials Project gives the theoretical powder diffractogram in this record (CuKα).
Kinematic intensities with the Lorentz-polarization factor, no thermal factor.

Atomic structure:
Lattice parameters (Å, degrees): 5.613 9.664 5.376 90.00 90.35 90.00
Space group C2 (No. 5)
Unique sites:
1 Mg 0.000 0.000 0.000
2 Hg 0.000 0.666 0.000
3 Sb 0.000 0.332 0.500
4 Sb 0.000 0.998 0.500
5 O 0.128 0.146 0.268
6 O 0.154 0.861 0.266
7 O 0.217 0.490 0.264

Principal peaks in the range 2θ = 10–80°, in order of falling intensity:
hkl 1 1 1, 3.593 Å, 24.78 deg, rel. 100
hkl 1 1 -1, 3.612 Å, 24.65 deg, rel. 51
hkl 1 3 0, 2.794 Å, 32.03 deg, rel. 49
hkl 2 0 2, 1.934 Å, 46.97 deg, rel. 36
hkl 2 2 1, 2.206 Å, 40.92 deg, rel. 26
hkl 1 3 -2, 1.940 Å, 46.83 deg, rel. 26
hkl 2 0 0, 2.806 Å, 31.89 deg, rel. 25
hkl 1 5 -1, 1.731 Å, 52.90 deg, rel. 18


(3)
For MgHgPd2, the GGA-PBE geometry in the Materials Project gives the theoretical powder diffractogram in this record (CuKα).
Kinematic intensities with the Lorentz-polarization factor, no thermal factor.

Atomic structure:
Lattice parameters (Å, degrees): 6.510 6.510 6.510 90.00 90.00 90.00
Space group Fm-3m (No. 225)
Unique sites:
1 Mg 0.000 0.000 0.000
2 Hg 0.000 0.000 0.500
3 Pd 0.250 0.250 0.250

Principal peaks in the range 2θ = 10–80°, in order of falling intensity:
hkl 2 2 0, 2.302 Å, 39.14 deg, rel. 100
hkl 1 1 1, 3.759 Å, 23.67 deg, rel. 37
hkl 4 2 2, 1.329 Å, 70.92 deg, rel. 34
hkl 3 1 1, 1.963 Å, 46.25 deg, rel. 20
hkl 4 0 0, 1.628 Å, 56.55 deg, rel. 17
hkl 3 3 1, 1.494 Å, 62.15 deg, rel. 8
hkl 5 1 1, 1.253 Å, 75.95 deg, rel. 6


(4)
For PmMgHg2, the GGA-PBE geometry in the Materials Project gives the theoretical powder diffractogram in this record (CuKα).
Kinematic intensities with the Lorentz-polarization factor, no thermal factor.

Atomic structure:
Lattice parameters (Å, degrees): 7.309 7.309 7.309 90.00 90.00 90.00
Space group Fm-3m (No. 225)
Unique sites:
1 Pm 0.000 0.000 0.000
2 Mg 0.000 0.000 0.500
3 Hg 0.250 0.250 0.250

Principal peaks in the range 2θ = 10–80°, in order of falling intensity:
hkl 2 2 0, 2.584 Å, 34.72 deg, rel. 100
hkl 4 2 2, 1.492 Å, 62.23 deg, rel. 38
hkl 2 0 0, 3.654 Å, 24.36 deg, rel. 19
hkl 4 0 0, 1.827 Å, 49.91 deg, rel. 18
hkl 4 4 0, 1.292 Å, 73.26 deg, rel. 12
hkl 1 1 1, 4.220 Å, 21.05 deg, rel. 10
hkl 4 2 0, 1.634 Å, 56.29 deg, rel. 8
hkl 2 2 2, 2.110 Å, 42.86 deg, rel. 6


(5)
For MgSc2Hg, the GGA-PBE geometry in the Materials Project gives the theoretical powder diffractogram in this record (CuKα).
Kinematic intensities with the Lorentz-polarization factor, no thermal factor.

Atomic structure:
Lattice parameters (Å, degrees): 7.079 7.079 7.079 90.00 90.00 90.00
Space group Fm-3m (No. 225)
Unique sites:
1 Mg 0.000 0.000 0.000
2 Sc 0.250 0.250 0.250
3 Hg 0.000 0.000 0.500

Principal peaks in the range 2θ = 10–80°, in order of falling intensity:
hkl 2 2 0, 2.503 Å, 35.88 deg, rel. 100
hkl 1 1 1, 4.087 Å, 21.74 deg, rel. 70
hkl 3 1 1, 2.134 Å, 42.34 deg, rel. 39
hkl 4 2 2, 1.445 Å, 64.48 deg, rel. 35
hkl 2 0 0, 3.540 Å, 25.16 deg, rel. 22
hkl 4 0 0, 1.770 Å, 51.65 deg, rel. 17
hkl 3 3 1, 1.624 Å, 56.68 deg, rel. 17
hkl 5 1 1, 1.362 Å, 68.92 deg, rel. 13


(6)
For SmMgHg2, the GGA-PBE geometry in the Materials Project gives the theoretical powder diffractogram in this record (CuKα).
Kinematic intensities with the Lorentz-polarization factor, no thermal factor.

Atomic structure:
Lattice parameters (Å, degrees): 7.282 7.282 7.282 90.00 90.00 90.00
Space group Fm-3m (No. 225)
Unique sites:
1 Sm 0.000 0.000 0.000
2 Mg 0.000 0.000 0.500
3 Hg 0.250 0.250 0.250

Principal peaks in the range 2θ = 10–80°, in order of falling intensity:
hkl 2 2 0, 2.575 Å, 34.85 deg, rel. 100
hkl 4 2 2, 1.486 Å, 62.48 deg, rel. 37
hkl 2 0 0, 3.641 Å, 24.45 deg, rel. 18
hkl 4 0 0, 1.820 Å, 50.11 deg, rel. 18
hkl 4 4 0, 1.287 Å, 73.58 deg, rel. 12
hkl 1 1 1, 4.204 Å, 21.13 deg, rel. 11
hkl 4 2 0, 1.628 Å, 56.52 deg, rel. 8
hkl 3 1 1, 2.196 Å, 41.11 deg, rel. 6


(7)
For TbMgHg2, the GGA-PBE geometry in the Materials Project gives the theoretical powder diffractogram in this record (CuKα).
Kinematic intensities with the Lorentz-polarization factor, no thermal factor.

Atomic structure:
Lattice parameters (Å, degrees): 7.208 7.208 7.208 90.00 90.00 90.00
Space group Fm-3m (No. 225)
Unique sites:
1 Tb 0.000 0.000 0.000
2 Mg 0.000 0.000 0.500
3 Hg 0.250 0.250 0.250

Principal peaks in the range 2θ = 10–80°, in order of falling intensity:
hkl 2 2 0, 2.549 Å, 35.21 deg, rel. 100
hkl 4 2 2, 1.471 Å, 63.19 deg, rel. 37
hkl 4 0 0, 1.802 Å, 50.65 deg, rel. 18
hkl 2 0 0, 3.604 Å, 24.70 deg, rel. 17
hkl 1 1 1, 4.162 Å, 21.35 deg, rel. 12
hkl 4 4 0, 1.274 Å, 74.46 deg, rel. 12
hkl 4 2 0, 1.612 Å, 57.15 deg, rel. 7
hkl 3 1 1, 2.173 Å, 41.55 deg, rel. 6


(8)
For MgHg4Te5, the GGA-PBE geometry in the Materials Project gives the theoretical powder diffractogram in this record (CuKα).
Kinematic intensities with the Lorentz-polarization factor, no thermal factor.

Atomic structure:
Lattice parameters (Å, degrees): 4.701 4.701 32.992 90.00 90.00 90.00
Space group I-4m2 (No. 119)
Unique sites:
1 Mg 0.000 0.000 0.000
2 Hg 0.000 0.000 0.200
3 Hg 0.000 0.000 0.401
4 Te 0.000 0.500 0.048
5 Te 0.000 0.500 0.250
6 Te 0.000 0.500 0.649

Principal peaks in the range 2θ = 10–80°, in order of falling intensity:
hkl 1 0 5, 3.829 Å, 23.23 deg, rel. 100
hkl 1 1 10, 2.342 Å, 38.44 deg, rel. 54
hkl 2 1 5, 2.003 Å, 45.27 deg, rel. 35
hkl 2 0 0, 2.350 Å, 38.29 deg, rel. 27
hkl 3 1 10, 1.355 Å, 69.33 deg, rel. 19
hkl 1 0 15, 1.992 Å, 45.53 deg, rel. 17
hkl 2 1 15, 1.520 Å, 60.96 deg, rel. 14
hkl 2 2 0, 1.662 Å, 55.27 deg, rel. 10